Structure and simulated X-ray powder pattern of RbLi2B3Sb2O9 (the PBE geometry in Alexandria; Cu Kα).
Intensities are scaled so that the largest is 100.

Structural model:
```
data_RbLi2B3Sb2O9
_symmetry_space_group_name_H-M 'P 1'
_symmetry_Int_Tables_number 1
_cell_length_a 6.463
_cell_length_b 5.631
_cell_length_c 13.078
_cell_angle_alpha 90.00
_cell_angle_beta 92.61
_cell_angle_gamma 90.00
loop_
_symmetry_equiv_pos_as_xyz
'x,y,z'
loop_
_atom_site_label
_atom_site_type_symbol
_atom_site_fract_x
_atom_site_fract_y
_atom_site_fract_z
Rb1 Rb 0.000 0.106 0.250
Rb2 Rb 0.000 0.894 0.750
Li1 Li 0.480 0.111 0.142
Li2 Li 0.480 0.889 0.642
Li3 Li 0.520 0.111 0.358
Li4 Li 0.520 0.889 0.858
B1 B 0.167 0.159 0.977
B2 B 0.167 0.841 0.477
B3 B 0.500 0.402 0.750
B4 B 0.500 0.598 0.250
B5 B 0.833 0.159 0.523
B6 B 0.833 0.841 0.023
Sb1 Sb 0.269 0.371 0.538
Sb2 Sb 0.269 0.629 0.038
Sb3 Sb 0.731 0.371 0.962
Sb4 Sb 0.731 0.629 0.462
O1 O 0.013 0.275 0.915
O2 O 0.013 0.725 0.415
O3 O 0.223 0.252 0.072
O4 O 0.223 0.748 0.572
O5 O 0.266 0.035 0.440
O6 O 0.266 0.965 0.940
O7 O 0.396 0.253 0.675
O8 O 0.396 0.747 0.175
O9 O 0.500 0.361 0.250
O10 O 0.500 0.639 0.750
O11 O 0.604 0.253 0.825
O12 O 0.604 0.747 0.325
O13 O 0.734 0.035 0.060
O14 O 0.734 0.965 0.560
O15 O 0.777 0.252 0.428
O16 O 0.777 0.748 0.928
O17 O 0.987 0.275 0.585
O18 O 0.987 0.725 0.085
```

Principal peaks in the range 2θ = 15–90°, by angle:
2θ 20.83, intensity 80, hkl 0 1 2; 2θ 21.83, intensity 95, hkl 1 1 -1; 2θ 24.67, intensity 58, hkl 1 1 -2; 2θ 25.86, intensity 50, hkl 0 1 3; 2θ 30.32, intensity 100, hkl 2 0 -2; 2θ 31.47, intensity 51, hkl 2 0 2; 2θ 35.17, intensity 62, hkl 1 1 4; 2θ 35.58, intensity 73, hkl 1 2 1


Structure and simulated X-ray powder pattern of Li2B2RhO6 (the PBE geometry in Alexandria; Cu Kα).
Intensities are scaled so that the largest is 100.

Structural model:
```
data_Li2B2RhO6
_symmetry_space_group_name_H-M 'P 1'
_symmetry_Int_Tables_number 1
_cell_length_a 4.839
_cell_length_b 4.839
_cell_length_c 5.859
_cell_angle_alpha 90.00
_cell_angle_beta 90.00
_cell_angle_gamma 120.00
loop_
_symmetry_equiv_pos_as_xyz
'x,y,z'
loop_
_atom_site_label
_atom_site_type_symbol
_atom_site_fract_x
_atom_site_fract_y
_atom_site_fract_z
Li1 Li 0.333 0.667 0.294
Li2 Li 0.667 0.333 0.706
B1 B 0.333 0.667 0.809
B2 B 0.667 0.333 0.191
Rh1 Rh 0.000 0.000 0.000
O1 O 0.060 0.691 0.801
O2 O 0.309 0.369 0.801
O3 O 0.369 0.060 0.199
O4 O 0.631 0.940 0.801
O5 O 0.691 0.631 0.199
O6 O 0.940 0.309 0.199
```

Principal peaks in the range 2θ = 15–90°, by angle:
2θ 15.12, intensity 100, hkl 0 0 1; 2θ 21.20, intensity 48, hkl 1 0 0; 2θ 26.14, intensity 86, hkl 1 0 1; 2θ 37.46, intensity 43, hkl 1 0 2; 2θ 40.33, intensity 33, hkl 2 -1 1; 2θ 46.00, intensity 19, hkl 2 0 1; 2θ 48.82, intensity 21, hkl 2 -1 2; 2θ 60.55, intensity 17, hkl 2 1 1